PuIn15Hg4: simulated powder diffraction line list (Cu Kα (weighted mean of Kα1 and Kα2)), based on a structure optimized by DFT (GGA-PBE).
Peak positions follow from Bragg's law for the DFT cell and can differ from measured ones.

Cell and atoms:
a = 4.6513 Å, b = 4.6513 Å, c = 24.1974 Å
α = 90.01°, β = 90.01°, γ = 90.00°
Atoms (fractional coordinates):
Pu1 0.0000 0.0000 0.0000
In1 0.0001 0.5001 0.0975
In2 0.0000 0.5000 0.5000
In3 0.9999 0.4999 0.9025
In4 0.0009 0.5015 0.7021
In5 0.4992 0.4992 0.4002
In6 0.4985 0.9991 0.2979
In7 0.5001 0.0001 0.0975
In8 0.5000 0.0000 0.5000
In9 0.4999 0.9999 0.9025
In10 0.5000 0.5000 0.0000
In11 0.4996 0.4996 0.1977
In12 0.5004 0.5004 0.8023
In13 0.5015 0.0009 0.7021
In14 0.5008 0.5008 0.5998
In15 0.9991 0.4985 0.2979
Hg1 0.9996 0.9996 0.1946
Hg2 0.0004 0.0004 0.8054
Hg3 0.0008 0.0008 0.5999
Hg4 0.9992 0.9992 0.4001

Peak list (8 most intense, 5 to 70 degrees two-theta, most intense first)
| d/Å | intensity |
| --- | --- |
| 2.720 | 100 |
| 2.326 | 32 |
| 1.407 | 26 |
| 1.677 | 23 |
| 2.420 | 18 |
| 1.448 | 14 |
| 1.360 | 11 |
| 1.644 | 11 |

PuIn7Hg4: simulated powder diffraction line list (Cu Kα (weighted mean of Kα1 and Kα2)), based on a structure optimized by DFT (GGA-PBE).
Peak positions follow from Bragg's law for the DFT cell and can differ from measured ones.

Cell and atoms:
a = 7.1259 Å, b = 7.1259 Å, c = 9.6386 Å
α = 117.82°, β = 117.82°, γ = 51.87°
Atoms (fractional coordinates):
Pu1 0.0000 0.0000 0.0000
In1 0.0023 0.0023 0.3410
In2 0.2568 0.2568 0.3509
In3 0.2669 0.2669 0.0210
In4 0.5000 0.5000 0.0000
In5 0.7331 0.7331 0.9790
In6 0.7432 0.7432 0.6491
In7 0.9977 0.9977 0.6590
Hg1 0.2502 0.2502 0.6794
Hg2 0.4901 0.4901 0.6626
Hg3 0.5099 0.5099 0.3374
Hg4 0.7498 0.7498 0.3206

Peak list (8 most intense, 5 to 70 degrees two-theta, most intense first)
| d/Å | intensity |
| --- | --- |
| 2.059 | 100 |
| 3.117 | 83 |
| 2.796 | 62 |
| 2.746 | 58 |
| 2.739 | 57 |
| 2.081 | 53 |
| 1.355 | 26 |
| 1.425 | 15 |

PuIn4Hg: simulated powder diffraction line list (Cu Kα (weighted mean of Kα1 and Kα2)), based on a structure optimized by DFT (GGA-PBE).
Peak positions follow from Bragg's law for the DFT cell and can differ from measured ones.

Cell and atoms:
a = 6.1187 Å, b = 6.1187 Å, c = 6.1187 Å
α = 60.00°, β = 60.00°, γ = 60.00°
Atoms (fractional coordinates):
Pu1 0.0000 0.0000 0.0000
In1 0.3748 0.3748 0.3748
In2 0.3748 0.3748 0.8755
In3 0.3748 0.8755 0.3748
In4 0.8755 0.3748 0.3748
Hg1 0.7500 0.7500 0.7500

Peak list (8 most intense, 5 to 70 degrees two-theta, most intense first)
| d/Å | intensity |
| --- | --- |
| 2.609 | 100 |
| 3.059 | 49 |
| 1.665 | 34 |
| 1.530 | 27 |
| 2.498 | 22 |
| 1.766 | 21 |
| 1.368 | 9 |
| 4.996 | 3 |

PuInHg: simulated powder diffraction line list (Cu Kα (weighted mean of Kα1 and Kα2)), based on a structure optimized by DFT (GGA-PBE).
Peak positions follow from Bragg's law for the DFT cell and can differ from measured ones.

Cell and atoms:
a = 5.1299 Å, b = 5.1299 Å, c = 3.2607 Å
α = 90.00°, β = 90.00°, γ = 120.00°
Atoms (fractional coordinates):
Pu1 0.0000 0.0000 0.0000
In1 0.6667 0.3333 0.5000
Hg1 0.3333 0.6667 0.5000

Peak list (8 most intense, 5 to 70 degrees two-theta, most intense first)
| d/Å | intensity |
| --- | --- |
| 2.629 | 100 |
| 2.565 | 89 |
| 1.493 | 36 |
| 1.836 | 35 |
| 1.376 | 26 |
| 1.481 | 17 |
| 4.443 | 12 |
| 1.630 | 8 |

PuIn2Hg7: simulated powder diffraction line list (Cu Kα (weighted mean of Kα1 and Kα2)), based on a structure optimized by DFT (GGA-PBE).
Peak positions follow from Bragg's law for the DFT cell and can differ from measured ones.

Cell and atoms:
a = 5.1358 Å, b = 5.1358 Å, c = 12.0463 Å
α = 90.00°, β = 90.00°, γ = 120.00°
Atoms (fractional coordinates):
Pu1 0.0000 0.0000 0.0000
In1 0.3333 0.6667 0.6102
In2 0.6667 0.3333 0.1456
Hg1 0.0000 0.0000 0.2776
Hg2 0.0000 0.0000 0.7187
Hg3 0.3333 0.6667 0.1137
Hg4 0.3333 0.6667 0.3683
Hg5 0.3333 0.6667 0.8594
Hg6 0.6667 0.3333 0.5317
Hg7 0.6667 0.3333 0.8746

Peak list (8 most intense, 5 to 70 degrees two-theta, most intense first)
| d/Å | intensity |
| --- | --- |
| 2.568 | 100 |
| 2.494 | 61 |
| 2.980 | 54 |
| 1.468 | 24 |
| 1.789 | 23 |
| 1.483 | 19 |
| 12.046 | 17 |
| 1.945 | 16 |

TbPuInHg: simulated powder diffraction line list (Cu Kα (weighted mean of Kα1 and Kα2)), based on a structure optimized by DFT (GGA-PBE).
Peak positions follow from Bragg's law for the DFT cell and can differ from measured ones.

Cell and atoms:
a = 5.3400 Å, b = 5.3400 Å, c = 5.3400 Å
α = 60.00°, β = 60.00°, γ = 60.00°
Atoms (fractional coordinates):
Tb1 0.0000 0.0000 0.0000
Pu1 0.5000 0.5000 0.5000
In1 0.2500 0.2500 0.2500
Hg1 0.7500 0.7500 0.7500

Peak list (8 most intense, 5 to 70 degrees two-theta, most intense first)
| d/Å | intensity |
| --- | --- |
| 2.670 | 100 |
| 1.542 | 38 |
| 1.888 | 18 |
| 4.360 | 5 |
| 2.277 | 3 |
| 1.733 | 2 |
| 3.776 | 1 |
| 1.453 | 1 |

PuInHgTe3: simulated powder diffraction line list (Cu Kα (weighted mean of Kα1 and Kα2)), based on a structure optimized by DFT (GGA-PBE).
Peak positions follow from Bragg's law for the DFT cell and can differ from measured ones.

Cell and atoms:
a = 10.1353 Å, b = 4.5093 Å, c = 10.4292 Å
α = 90.00°, β = 107.91°, γ = 90.00°
Atoms (fractional coordinates):
Pu1 0.1728 0.2500 0.1226
Pu2 0.8272 0.7500 0.8774
In1 0.4149 0.7500 0.3590
In2 0.5851 0.2500 0.6410
Hg1 0.2715 0.7500 0.7419
Hg2 0.7285 0.2500 0.2581
Te1 0.0100 0.2500 0.8227
Te2 0.2963 0.2500 0.4653
Te3 0.3741 0.7500 0.0827
Te4 0.6259 0.2500 0.9173
Te5 0.7037 0.7500 0.5347
Te6 0.9900 0.7500 0.1773

Peak list (8 most intense, 5 to 70 degrees two-theta, most intense first)
| d/Å | intensity |
| --- | --- |
| 3.343 | 100 |
| 2.255 | 45 |
| 2.870 | 42 |
| 2.752 | 38 |
| 8.310 | 36 |
| 3.294 | 33 |
| 2.108 | 30 |
| 1.773 | 23 |

PuThInHg: simulated powder diffraction line list (Cu Kα (weighted mean of Kα1 and Kα2)), based on a structure optimized by DFT (GGA-PBE).
Peak positions follow from Bragg's law for the DFT cell and can differ from measured ones.

Cell and atoms:
a = 3.3705 Å, b = 3.3705 Å, c = 9.4277 Å
α = 90.00°, β = 90.00°, γ = 90.00°
Atoms (fractional coordinates):
Pu1 0.0000 0.0000 0.0000
Th1 0.0000 0.0000 0.4914
In1 0.5000 0.5000 0.7496
Hg1 0.5000 0.5000 0.2413

Peak list (8 most intense, 5 to 70 degrees two-theta, most intense first)
| d/Å | intensity |
| --- | --- |
| 2.742 | 100 |
| 2.383 | 34 |
| 1.436 | 28 |
| 1.676 | 23 |
| 2.357 | 16 |
| 1.424 | 14 |
| 1.371 | 12 |
| 1.685 | 12 |

Rb2In3Hg8: simulated powder diffraction line list (Cu Kα (weighted mean of Kα1 and Kα2)), based on a structure optimized by DFT (GGA-PBE).
Peak positions follow from Bragg's law for the DFT cell and can differ from measured ones.

Cell and atoms:
a = 9.9446 Å, b = 9.9446 Å, c = 6.4913 Å
α = 99.71°, β = 99.71°, γ = 38.98°
Atoms (fractional coordinates):
Rb1 0.1853 0.1853 0.3080
Rb2 0.8147 0.8147 0.6920
In1 0.0000 0.0000 0.5000
In2 0.2374 0.7626 0.0000
In3 0.7626 0.2374 0.0000
Hg1 0.1278 0.6121 0.2297
Hg2 0.2786 0.2786 0.8566
Hg3 0.3879 0.8722 0.7703
Hg4 0.4223 0.4223 0.6396
Hg5 0.5777 0.5777 0.3604
Hg6 0.6121 0.1278 0.2297
Hg7 0.7214 0.7214 0.1434
Hg8 0.8722 0.3879 0.7703

Peak list (8 most intense, 5 to 70 degrees two-theta, most intense first)
| d/Å | intensity |
| --- | --- |
| 2.740 | 100 |
| 3.079 | 39 |
| 2.987 | 35 |
| 2.782 | 32 |
| 2.173 | 31 |
| 2.430 | 24 |
| 5.755 | 21 |
| 1.660 | 18 |

Rb2In17Hg3: simulated powder diffraction line list (Cu Kα (weighted mean of Kα1 and Kα2)), based on a structure optimized by DFT (GGA-PBE).
Peak positions follow from Bragg's law for the DFT cell and can differ from measured ones.

Cell and atoms:
a = 8.8995 Å, b = 8.8995 Å, c = 8.8995 Å
α = 82.14°, β = 82.14°, γ = 82.14°
Atoms (fractional coordinates):
Rb1 0.1443 0.1443 0.1443
Rb2 0.8557 0.8557 0.8557
In1 0.0000 0.5000 0.5000
In2 0.1691 0.1691 0.6771
In3 0.1691 0.6771 0.1691
In4 0.2459 0.5000 0.7541
In5 0.2459 0.7541 0.5000
In6 0.3229 0.8309 0.8309
In7 0.3828 0.3828 0.3828
In8 0.5000 0.0000 0.5000
In9 0.5000 0.2459 0.7541
In10 0.5000 0.5000 0.0000
In11 0.5000 0.7541 0.2459
In12 0.6172 0.6172 0.6172
In13 0.6771 0.1691 0.1691
In14 0.7541 0.2459 0.5000
In15 0.7541 0.5000 0.2459
In16 0.8309 0.3229 0.8309
In17 0.8309 0.8309 0.3229
Hg1 0.0000 0.0000 0.5000
Hg2 0.0000 0.5000 0.0000
Hg3 0.5000 0.0000 0.0000

Peak list (8 most intense, 5 to 70 degrees two-theta, most intense first)
| d/Å | intensity |
| --- | --- |
| 2.923 | 100 |
| 2.899 | 50 |
| 2.059 | 42 |
| 2.873 | 40 |
| 2.505 | 32 |
| 2.048 | 27 |
| 2.431 | 25 |
| 1.462 | 25 |

Rb2InHg10: simulated powder diffraction line list (Cu Kα (weighted mean of Kα1 and Kα2)), based on a structure optimized by DFT (GGA-PBE).
Peak positions follow from Bragg's law for the DFT cell and can differ from measured ones.

Cell and atoms:
a = 10.9161 Å, b = 12.7582 Å, c = 6.8509 Å
α = 90.00°, β = 90.00°, γ = 90.00°
Atoms (fractional coordinates):
Rb1 0.2440 0.0695 0.0000
Rb2 0.2560 0.5695 0.0000
Rb3 0.7440 0.4305 0.0000
Rb4 0.7560 0.9305 0.0000
In1 0.0000 0.0000 0.5000
In2 0.5000 0.5000 0.5000
Hg1 0.0452 0.6224 0.5000
Hg2 0.0699 0.8140 0.2156
Hg3 0.0699 0.8140 0.7844
Hg4 0.1805 0.1991 0.5000
Hg5 0.2281 0.4369 0.5000
Hg6 0.2719 0.9369 0.5000
Hg7 0.3195 0.6991 0.5000
Hg8 0.4301 0.3140 0.2156
Hg9 0.4301 0.3140 0.7844
Hg10 0.4548 0.1224 0.5000
Hg11 0.5452 0.8776 0.5000
Hg12 0.5699 0.6860 0.2156
Hg13 0.5699 0.6860 0.7844
Hg14 0.6805 0.3009 0.5000
Hg15 0.7281 0.0631 0.5000
Hg16 0.7719 0.5631 0.5000
Hg17 0.8195 0.8009 0.5000
Hg18 0.9301 0.1860 0.2156
Hg19 0.9301 0.1860 0.7844
Hg20 0.9548 0.3776 0.5000

Peak list (8 most intense, 5 to 70 degrees two-theta, most intense first)
| d/Å | intensity |
| --- | --- |
| 6.851 | 100 |
| 2.795 | 50 |
| 2.669 | 48 |
| 2.283 | 43 |
| 2.485 | 41 |
| 2.870 | 32 |
| 2.591 | 29 |
| 2.904 | 29 |

Rb2In2Hg: simulated powder diffraction line list (Cu Kα (weighted mean of Kα1 and Kα2)), based on a structure optimized by DFT (GGA-PBE).
Peak positions follow from Bragg's law for the DFT cell and can differ from measured ones.

Cell and atoms:
a = 6.7895 Å, b = 6.7895 Å, c = 6.7895 Å
α = 114.29°, β = 114.29°, γ = 100.21°
Atoms (fractional coordinates):
Rb1 0.2500 0.7500 0.5000
Rb2 0.7500 0.2500 0.5000
In1 0.1599 0.1599 0.0000
In2 0.8401 0.8401 0.0000
Hg1 0.5000 0.5000 0.0000

Peak list (8 most intense, 5 to 70 degrees two-theta, most intense first)
| d/Å | intensity |
| --- | --- |
| 3.683 | 100 |
| 2.178 | 51 |
| 2.701 | 45 |
| 5.209 | 40 |
| 2.605 | 40 |
| 3.341 | 32 |
| 1.671 | 24 |
| 1.647 | 20 |